Record 1
Diffraction record for Ca5In4Hg. The powder XRD pattern is calculated, not measured: it uses the PBE geometry in Alexandria and copper Kα.
No peak broadening, texture or thermal motion is included.

Structural model:
```
data_Ca5In4Hg
_symmetry_space_group_name_H-M 'P 4/m m m'
_symmetry_Int_Tables_number 123
_symmetry_space_group_name_Hall '-P 4 2'
_cell_length_a 3.8674
_cell_length_b 3.8674
_cell_length_c 18.9597
_cell_angle_alpha 90.00
_cell_angle_beta 90.00
_cell_angle_gamma 90.00
loop_
_atom_site_label
_atom_site_type_symbol
_atom_site_fract_x
_atom_site_fract_y
_atom_site_fract_z
Ca1 Ca 0.0000 0.0000 0.0000
Ca2 Ca 0.0000 0.0000 0.2005
Ca3 Ca 0.0000 0.0000 0.4028
In1 In 0.5000 0.5000 0.1006
In2 In 0.5000 0.5000 0.3002
Hg1 Hg 0.5000 0.5000 0.5000
```

Most intense lines, 2θ = 5–70°, by intensity:
d/Å	2θ/deg	I_rel
2.708	33.1	100
2.735	32.7	51
1.574	58.7	36
3.867	23.0	32
1.934	47.0	18
1.558	59.3	17
3.792	23.5	17
2.218	40.7	16
1.354	69.4	11
1.896	48.0	9


Record 2
Diffraction record for Tl2Bi5Au3. The powder XRD pattern is calculated, not measured: it uses the PBE geometry in Alexandria and copper Kα.
No peak broadening, texture or thermal motion is included.

Structural model:
```
data_Tl2Bi5Au3
_symmetry_space_group_name_H-M 'C m c 21'
_symmetry_Int_Tables_number 36
_symmetry_space_group_name_Hall 'C 2c -2'
_cell_length_a 4.6742
_cell_length_b 30.1640
_cell_length_c 7.9814
_cell_angle_alpha 90.00
_cell_angle_beta 90.00
_cell_angle_gamma 90.00
loop_
_atom_site_label
_atom_site_type_symbol
_atom_site_fract_x
_atom_site_fract_y
_atom_site_fract_z
Tl1 Tl 0.0000 0.0219 0.0000
Tl2 Tl 0.0000 0.3328 0.9298
Bi1 Bi 0.0000 0.0971 0.6396
Bi2 Bi 0.0000 0.2057 0.7212
Bi3 Bi 0.0000 0.2075 0.1602
Bi4 Bi 0.0000 0.3790 0.4623
Bi5 Bi 0.0000 0.4457 0.8293
Au1 Au 0.0000 0.1084 0.2129
Au2 Au 0.0000 0.2762 0.4404
Au3 Au 0.0000 0.4612 0.2132
```

Most intense lines, 2θ = 5–70°, by intensity:
d/Å	2θ/deg	I_rel
2.906	30.8	100
2.945	30.4	50
2.337	38.5	45
2.251	40.1	35
3.019	29.6	30
2.822	31.7	26
2.724	32.9	22
2.511	35.8	19
1.638	56.2	18
1.800	50.7	15